Diffraction record for Mg14CrCdO16. The X-ray powder pattern is computed, not measured: it uses a PBE+U-relaxed structure and λ = 1.5418 Å (Cu Kα).
Lines closer than 0.1° are merged.

Structure:
```
32
Lattice="4.3117 0.0000 0.0000 0.0000 8.5873 0.0000 0.0000 0.0000 8.6981" Properties=species:S:1:pos:R:3 pbc="T T T"
Mg 0.0000 0.0000 0.0000
Mg 0.0000 2.1197 2.1333
Mg 0.0000 2.1197 6.5648
Mg 0.0000 4.2936 0.0000
Mg 0.0000 6.4676 2.1333
Mg 0.0000 6.4676 6.5648
Mg 2.1558 0.0000 2.1492
Mg 2.1558 0.0000 6.5489
Mg 2.1558 2.1091 4.3491
Mg 2.1558 2.1360 0.0000
Mg 2.1558 4.2936 2.1239
Mg 2.1558 4.2936 6.5742
Mg 2.1558 6.4513 0.0000
Mg 2.1558 6.4782 4.3491
Cr 0.0000 0.0000 4.3491
Cd 0.0000 4.2936 4.3491
O 0.0000 0.0000 2.0458
O 0.0000 0.0000 6.6523
O 0.0000 2.0309 4.3491
O 0.0000 2.1472 0.0000
O 0.0000 4.2936 2.0467
O 0.0000 4.2936 6.6514
O 0.0000 6.4401 0.0000
O 0.0000 6.5564 4.3491
O 2.1558 0.0000 0.0000
O 2.1558 0.0000 4.3491
O 2.1558 2.1493 2.1879
O 2.1558 2.1493 6.5102
O 2.1558 4.2936 0.0000
O 2.1558 4.2936 4.3491
O 2.1558 6.4380 2.1879
O 2.1558 6.4380 6.5102
```

Principal peaks in the range 5° ≤ 2θ ≤ 70°, in order of falling intensity:
2θ/deg  I (rel.)
41.53  100.0
41.91  98.6
42.09  96.6
36.03  70.3
60.47  56.6
60.61  55.8
60.90  55.6
10.17  53.1

---

Diffraction record for Mg14CrCdO16. The X-ray powder pattern is computed, not measured: it uses a PBE+U-relaxed structure and λ = 1.5418 Å (Cu Kα).
Lines closer than 0.1° are merged.

Structure:
```
32
Lattice="8.5805 0.0000 0.0000 0.0000 8.5805 0.0000 0.0000 0.0000 4.3776" Properties=species:S:1:pos:R:3 pbc="T T T"
Mg 0.0000 2.1331 0.0000
Mg 0.0000 4.2902 2.1888
Mg 0.0000 6.4474 0.0000
Mg 2.0989 4.2902 0.0000
Mg 2.1291 2.1291 2.1888
Mg 2.1291 6.4514 2.1888
Mg 2.1331 0.0000 0.0000
Mg 4.2902 0.0000 2.1888
Mg 4.2902 2.0989 0.0000
Mg 4.2902 6.4816 0.0000
Mg 6.4474 0.0000 0.0000
Mg 6.4514 2.1291 2.1888
Mg 6.4514 6.4514 2.1888
Mg 6.4816 4.2902 0.0000
Cr 0.0000 0.0000 2.1888
Cd 4.2902 4.2902 2.1888
O 0.0000 0.0000 0.0000
O 0.0000 2.1560 2.1888
O 0.0000 4.2902 0.0000
O 0.0000 6.4245 2.1888
O 2.0158 4.2902 2.1888
O 2.1480 2.1480 0.0000
O 2.1480 6.4325 0.0000
O 2.1560 0.0000 2.1888
O 4.2902 0.0000 0.0000
O 4.2902 2.0158 2.1888
O 4.2902 4.2902 0.0000
O 4.2902 6.5647 2.1888
O 6.4245 0.0000 2.1888
O 6.4325 2.1480 0.0000
O 6.4325 6.4325 0.0000
O 6.5647 4.2902 2.1888
```

Principal peaks in the range 5° ≤ 2θ ≤ 70°, in order of falling intensity:
2θ/deg  I (rel.)
42.12  100.0
60.42  59.3
41.25  53.9
36.02  36.5
61.09  28.4
14.60  26.8
25.08  17.1
20.70  14.9

---

Diffraction record for MgCr2Cd2O8. The X-ray powder pattern is computed, not measured: it uses a PBE+U-relaxed structure and λ = 1.5418 Å (Cu Kα).
Lines closer than 0.1° are merged.

Structure:
```
13
Lattice="4.4641 -3.0390 0.0000 4.4641 3.0390 0.0000 -0.4781 0.0000 6.8785" Properties=species:S:1:pos:R:3 pbc="T T T"
Mg 0.0000 0.0000 0.0000
Cr 0.9831 0.0000 4.8770
Cr 7.4669 0.0000 2.0015
Cd 4.4641 0.0000 0.0000
Cd 4.2250 0.0000 3.4392
O 4.1106 1.6799 1.6787
O 1.7625 0.0000 6.4306
O 4.3394 1.6799 5.1997
O 2.0419 0.0000 3.6107
O 6.4081 0.0000 3.2678
O 4.1106 -1.6799 1.6787
O 6.6875 0.0000 0.4478
O 4.3394 -1.6799 5.1997
```

Principal peaks in the range 5° ≤ 2θ ≤ 70°, in order of falling intensity:
2θ/deg  I (rel.)
32.12  100.0
29.39  94.9
19.94  88.5
33.59  84.0
17.67  75.3
30.94  72.9
43.81  51.9
39.57  47.1

---

- Number 3 is which compound?
  MgCr2Cd2O8

---

- Number 1 is which compound?
  Mg14CrCdO16